Diffraction record for Ba3SrTa2O9. The powder diffraction line list is simulated, not measured: it uses a structure optimized by DFT (GGA-PBE) and Cu Kα, 1.54184 Å.
Intensities are scaled so that the largest is 1000.

Structural model:
```
Ba3SrTa2O9
1.0
6.095 0.000 0.000
-3.048 5.279 0.000
0.000 0.000 15.990
Ba Sr Ta O
6 2 4 18
Direct
0.000 0.000 0.250 Ba
0.000 0.000 0.750 Ba
0.333 0.667 0.123 Ba
0.333 0.667 0.377 Ba
0.667 0.333 0.623 Ba
0.667 0.333 0.877 Ba
0.000 0.000 0.000 Sr
0.000 0.000 0.500 Sr
0.333 0.667 0.656 Ta
0.333 0.667 0.844 Ta
0.667 0.333 0.156 Ta
0.667 0.333 0.344 Ta
0.036 0.518 0.750 O
0.174 0.347 0.601 O
0.174 0.347 0.899 O
0.174 0.826 0.601 O
0.174 0.826 0.899 O
0.347 0.174 0.101 O
0.347 0.174 0.399 O
0.482 0.518 0.750 O
0.482 0.964 0.750 O
0.518 0.036 0.250 O
0.518 0.482 0.250 O
0.653 0.826 0.601 O
0.653 0.826 0.899 O
0.826 0.174 0.101 O
0.826 0.174 0.399 O
0.826 0.653 0.101 O
0.826 0.653 0.399 O
0.964 0.482 0.250 O
```

Principal peaks in the range 2θ = 10–90°, low angle first:
- (0 0 2), 2θ 11.07, I 198
- (1 0 4), 2θ 28.00, I 728
- (1 1 0), 2θ 29.30, I 1000
- (2 0 4), 2θ 40.98, I 407
- (2 1 4), 2θ 51.17, I 267
- (3 0 0), 2θ 51.97, I 204